[1]
Starting from a crystal structure in OQMD, relaxed with PBE, the PXRD pattern of Cu7Ag was simulated for a wavelength of 1.5418 Å.
Kinematic intensities with the Lorentz-polarization factor, no thermal factor.

Crystal structure
a b c (Å): 5.829 5.829 3.681
angles (deg): 90.00 90.00 126.56
Positions (direct):
1 Cu 0.000 0.000 0.000
2 Cu 0.113 0.371 0.500
3 Cu 0.246 0.754 0.000
4 Cu 0.371 0.113 0.500
5 Cu 0.629 0.887 0.500
6 Cu 0.754 0.246 0.000
7 Cu 0.887 0.629 0.500
8 Ag 0.500 0.500 0.000

Most intense lines, 2θ = 10–80°, in order of falling intensity:
- 2θ 42.33, I = 100
- 2θ 42.54, I = 98
- 2θ 49.34, I = 62
- 2θ 72.51, I = 36
- 2θ 49.53, I = 31
- 2θ 72.07, I = 9
- 2θ 72.64, I = 9
- 2θ 30.90, I = 6
- 2θ 29.73, I = 3
- 2θ 18.95, I = 2


[2]
Starting from a crystal structure in OQMD, relaxed with PBE, the PXRD pattern of Sr2Ag2O3 was simulated for a wavelength of 1.5418 Å.
Kinematic intensities with the Lorentz-polarization factor, no thermal factor.

Crystal structure
a b c (Å): 9.246 7.097 6.702
angles (deg): 84.09 49.77 46.14
Positions (direct):
1 Sr 0.113 0.113 0.887
2 Sr 0.887 0.887 0.113
3 Ag 0.327 0.673 0.327
4 Ag 0.673 0.327 0.673
5 O 0.146 0.854 0.146
6 O 0.500 0.500 0.500
7 O 0.854 0.146 0.854

Most intense lines, 2θ = 10–80°, in order of falling intensity:
- 2θ 13.13, I = 100
- 2θ 30.01, I = 81
- 2θ 29.18, I = 24
- 2θ 39.78, I = 19
- 2θ 40.77, I = 13
- 2θ 45.98, I = 12
- 2θ 53.82, I = 12
- 2θ 51.46, I = 11
- 2θ 42.89, I = 10
- 2θ 39.05, I = 10


[3]
Starting from a crystal structure in OQMD, relaxed with PBE, the PXRD pattern of Tl2CdPt2 was simulated for a wavelength of 1.5418 Å.
Kinematic intensities with the Lorentz-polarization factor, no thermal factor.

Crystal structure
a b c (Å): 7.557 7.557 7.557
angles (deg): 149.08 149.08 44.30
Positions (direct):
1 Tl 0.111 0.111 0.000
2 Tl 0.889 0.889 0.000
3 Cd 0.500 0.500 0.000
4 Pt 0.250 0.750 0.500
5 Pt 0.750 0.250 0.500

Most intense lines, 2θ = 10–80°, in order of falling intensity:
- 2θ 33.97, I = 100
- 2θ 40.84, I = 77
- 2θ 44.99, I = 57
- 2θ 39.18, I = 51
- 2θ 29.28, I = 44
- 2θ 12.65, I = 30
- 2θ 22.97, I = 30
- 2θ 61.16, I = 28
- 2θ 71.40, I = 23
- 2θ 75.70, I = 20


[4]
Starting from a crystal structure in OQMD, relaxed with PBE, the PXRD pattern of Ag4Sn3S8 was simulated for a wavelength of 1.5418 Å.
Kinematic intensities with the Lorentz-polarization factor, no thermal factor.

Crystal structure
a b c (Å): 10.896 10.896 10.896
angles (deg): 90.00 90.00 90.00
Positions (direct):
1 Ag 0.105 0.125 0.855
2 Ag 0.125 0.625 0.875
3 Ag 0.125 0.855 0.105
4 Ag 0.145 0.605 0.375
5 Ag 0.355 0.395 0.875
6 Ag 0.375 0.145 0.605
7 Ag 0.375 0.375 0.375
8 Ag 0.395 0.875 0.355
9 Ag 0.605 0.375 0.145
10 Ag 0.625 0.645 0.895
11 Ag 0.625 0.875 0.125
12 Ag 0.645 0.895 0.625
13 Ag 0.855 0.105 0.125
14 Ag 0.875 0.125 0.625
15 Ag 0.875 0.355 0.395
16 Ag 0.895 0.625 0.645
17 Sn 0.114 0.364 0.125
18 Sn 0.125 0.114 0.364
19 Sn 0.136 0.875 0.614
20 Sn 0.364 0.125 0.114
21 Sn 0.375 0.886 0.864
22 Sn 0.386 0.636 0.625
23 Sn 0.614 0.136 0.875
24 Sn 0.625 0.386 0.636
25 Sn 0.636 0.625 0.386
26 Sn 0.864 0.375 0.886
27 Sn 0.875 0.614 0.136
28 Sn 0.886 0.864 0.375
29 S 0.101 0.362 0.888
30 S 0.112 0.351 0.362
31 S 0.112 0.601 0.138
32 S 0.121 0.121 0.121
33 S 0.129 0.871 0.371
34 S 0.138 0.112 0.601
35 S 0.138 0.888 0.851
36 S 0.149 0.638 0.612
37 S 0.351 0.362 0.112
38 S 0.362 0.112 0.351
39 S 0.362 0.888 0.101
40 S 0.371 0.129 0.871
41 S 0.379 0.879 0.621
42 S 0.388 0.399 0.638
43 S 0.388 0.649 0.862
44 S 0.399 0.638 0.388
45 S 0.601 0.138 0.112
46 S 0.612 0.149 0.638
47 S 0.612 0.899 0.862
48 S 0.621 0.379 0.879
49 S 0.629 0.629 0.629
50 S 0.638 0.388 0.399
51 S 0.638 0.612 0.149
52 S 0.649 0.862 0.388
53 S 0.851 0.138 0.888
54 S 0.862 0.388 0.649
55 S 0.862 0.612 0.899
56 S 0.871 0.371 0.129
57 S 0.879 0.621 0.379
58 S 0.888 0.101 0.362
59 S 0.888 0.851 0.138
60 S 0.899 0.862 0.612

Most intense lines, 2θ = 10–80°, in order of falling intensity:
- 2θ 32.88, I = 100
- 2θ 47.19, I = 63
- 2θ 28.38, I = 52
- 2θ 55.98, I = 22
- 2θ 78.52, I = 20
- 2θ 58.71, I = 19
- 2θ 53.88, I = 10
- 2θ 33.92, I = 9
- 2θ 11.49, I = 8
- 2θ 68.95, I = 8


Which formula does entry 3 have? Tl2CdPt2